For LiVPCO7, a PBE+U-relaxed structure gives the theoretical X-ray diffraction stick pattern in this record (Cu Kα (weighted mean of Kα1 and Kα2)).
No peak broadening, texture or thermal motion is included.

Crystal structure
Cell lengths 5.4009, 6.2452, 8.7456 Å; angles 90.00, 93.31, 90.00 degrees
Space group P2_1 (No. 4)
Symmetry-distinct sites (fractional):
Li 0.2430 0.0000 0.3175
V 0.2097 0.6855 0.8333
P 0.2781 0.1810 0.9424
C 0.2659 0.6904 0.5606
O 0.0474 0.6730 0.6244
O 0.1328 0.1691 0.0887
O 0.2019 0.3753 0.8415
O 0.2101 0.9810 0.8400
O 0.2952 0.7321 0.4254
O 0.4408 0.6801 0.0183
O 0.4491 0.6670 0.6695

Peak list (10 most intense, 2θ from 15° to 90°, in order of rising 2θ)
| h k l | d (Å) | 2θ/deg | intensity |
| --- | --- | --- | --- |
| 0 1 1 | 5.080 | 17.46 | 100 |
| 1 0 -1 | 4.711 | 18.84 | 68 |
| 1 0 1 | 4.474 | 19.85 | 65 |
| 1 1 0 | 4.081 | 21.78 | 26 |
| 1 1 1 | 3.637 | 24.48 | 53 |
| 1 0 -2 | 3.493 | 25.50 | 58 |
| 0 2 0 | 3.123 | 28.59 | 90 |
| 2 0 0 | 2.696 | 33.23 | 25 |
| 2 0 -1 | 2.622 | 34.20 | 22 |
| 1 1 3 | 2.322 | 38.78 | 24 |